For ZrMn6Sn6, a cell relaxed with GGA-PBE gives the calculated PXRD pattern in this record (Cu Kα (λ = 1.5418 Å)).
Lines closer than 0.1° are merged.

Largest 10 diffraction maxima, sorted by position, 5° ≤ 2θ ≤ 70°:
2θ 33.1, I = 100.0, (1 1 0); 2θ 35.6, I = 38.0, (1 0 3); 2θ 38.4, I = 24.2, (2 0 0); 2θ 38.9, I = 79.2, (1 1 2); 2θ 40.2, I = 26.5, (0 0 4); 2θ 43.6, I = 71.6, (2 0 2); 2θ 44.8, I = 21.4, (1 0 4); 2θ 45.2, I = 19.5, (1 1 3); 2θ 59.2, I = 20.1, (3 0 0); 2θ 69.5, I = 30.9, (2 2 0)

Atomic structure:
abc: 5.4096 5.4096 8.9821
angles: 90.00 90.00 120.00
Space group P6/mmm (No. 191)
One atom of each set of equivalent atoms:
Zr  0.0000  0.0000  0.0000 (multiplicity 1)
Mn  0.0000  0.5000  0.2475 (multiplicity 6)
Sn  0.0000  0.0000  0.3275 (multiplicity 2)
Sn  0.3333  0.6667  0.0000 (multiplicity 2)
Sn  0.3333  0.6667  0.5000 (multiplicity 2)